(1)
# BaSrPb2O6
Simulated powder XRD pattern, λ = 1.5418 Å (Cu Kα). Input: a GGA-PBE-relaxed structure.
Lines closer than 0.1° are merged.

Structure:
a = 8.612 Å, b = 6.073 Å, c = 6.139 Å
α = 90.00°, β = 90.00°, γ = 90.00°
Space group Pmc2_1 (No. 26)
Symmetry-distinct sites (fractional):
Ba: 0.000 0.240 0.000 x2
Sr: 0.500 0.257 0.078 x2
Pb: 0.256 0.250 0.534 x4
O: 0.000 0.321 0.546 x2
O: 0.216 0.042 0.241 x4
O: 0.305 0.459 0.822 x4
O: 0.500 0.154 0.491 x2

Largest 10 diffraction maxima, by angle, 2θ from 10° to 80°:
2θ (°)	intensity
20.59	23
29.09	24
29.29	100
29.41	24
41.85	25
41.96	13
51.70	19
52.09	35
60.76	15
68.96	13

(2)
# BaZr2Ti3Pb4O15
Simulated powder XRD pattern, λ = 1.5418 Å (Cu Kα). Input: a GGA-PBE-relaxed structure.
Lines closer than 0.1° are merged.

Structure:
a = 4.417 Å, b = 4.052 Å, c = 20.014 Å
α = 90.00°, β = 90.16°, γ = 90.00°
Space group Pm (No. 6)
Symmetry-distinct sites (fractional):
Ba: 0.000 0.000 0.000 x1
Zr: 0.491 0.500 0.314 x1
Zr: 0.499 0.500 0.105 x1
Ti: 0.478 0.500 0.901 x1
Ti: 0.480 0.500 0.708 x1
Ti: 0.482 0.500 0.515 x1
Pb: 0.919 0.000 0.805 x1
Pb: 0.925 0.000 0.612 x1
Pb: 0.927 0.000 0.212 x1
Pb: 0.928 0.000 0.420 x1
O: 0.043 0.500 0.311 x1
O: 0.045 0.500 0.101 x1
O: 0.077 0.500 0.902 x1
O: 0.083 0.500 0.707 x1
O: 0.085 0.500 0.513 x1
O: 0.541 0.500 0.997 x1
O: 0.553 0.000 0.899 x1
O: 0.569 0.000 0.706 x1
O: 0.571 0.000 0.514 x1
O: 0.576 0.000 0.105 x1
O: 0.577 0.500 0.210 x1
O: 0.580 0.500 0.803 x1
O: 0.582 0.500 0.611 x1
O: 0.583 0.500 0.419 x1
O: 0.589 0.000 0.313 x1

Largest 10 diffraction maxima, by angle, 2θ from 10° to 80°:
2θ (°)	intensity
20.11	31
21.94	21
29.93	100
30.13	95
31.41	85
37.58	47
40.87	22
44.73	27
45.31	22
54.88	37

(3)
# BaPdO5
Simulated powder XRD pattern, λ = 1.5418 Å (Cu Kα). Input: a GGA-PBE-relaxed structure.
Lines closer than 0.1° are merged.

Structure:
a = 5.253 Å, b = 6.134 Å, c = 7.146 Å
α = 90.00°, β = 92.78°, γ = 90.00°
Space group P2 (No. 3)
Symmetry-distinct sites (fractional):
Ba: 0.000 0.000 0.000 x1
Ba: 0.500 0.071 0.500 x1
Pd: 0.253 0.537 0.250 x2
O: 0.000 0.838 0.500 x1
O: 0.063 0.706 0.662 x2
O: 0.107 0.265 0.296 x2
O: 0.399 0.809 0.202 x2
O: 0.432 0.367 0.839 x2
O: 0.500 0.234 0.000 x1

Largest 10 diffraction maxima, by angle, 2θ from 10° to 80°:
2θ (°)	intensity
20.52	71
26.00	100
28.94	87
29.12	18
35.88	48
37.28	39
41.73	16
42.47	20
43.57	22
49.75	17

(4)
# BaPdO5
Simulated powder XRD pattern, λ = 1.5418 Å (Cu Kα). Input: a GGA-PBE-relaxed structure.
Lines closer than 0.1° are merged.

Structure:
a = 4.901 Å, b = 5.533 Å, c = 7.184 Å
α = 90.00°, β = 93.17°, γ = 90.00°
Space group P2/c (No. 13)
Symmetry-distinct sites (fractional):
Ba: 0.000 0.132 0.250 x2
Pd: 0.500 0.500 0.000 x2
O: 0.089 0.427 0.945 x4
O: 0.429 0.198 0.663 x4
O: 0.500 0.316 0.250 x2

Largest 10 diffraction maxima, by angle, 2θ from 10° to 80°:
2θ (°)	intensity
20.27	33
24.28	96
26.85	28
27.79	26
29.69	100
30.07	34
31.74	31
36.73	49
39.13	33
41.18	34

(5)
# Ba2Pd2O5
Simulated powder XRD pattern, λ = 1.5418 Å (Cu Kα). Input: a GGA-PBE-relaxed structure.
Lines closer than 0.1° are merged.

Structure:
a = 4.096 Å, b = 4.096 Å, c = 8.461 Å
α = 90.00°, β = 90.00°, γ = 90.00°
Space group P4/mmm (No. 123)
Symmetry-distinct sites (fractional):
Ba: 0.000 0.000 0.000 x1
Ba: 0.000 0.000 0.500 x1
Pd: 0.500 0.500 0.248 x2
O: 0.000 0.500 0.282 x4
O: 0.500 0.500 0.000 x1

Largest 10 diffraction maxima, by angle, 2θ from 10° to 80°:
2θ (°)	intensity
30.38	100
30.88	41
42.75	13
44.23	25
53.66	19
54.60	38
63.20	16
64.34	8
70.65	9
72.79	8

(6)
# Ba2PdO3
Simulated powder XRD pattern, λ = 1.5418 Å (Cu Kα). Input: a GGA-PBE-relaxed structure.
Lines closer than 0.1° are merged.

Structure:
a = 3.904 Å, b = 4.157 Å, c = 13.475 Å
α = 90.00°, β = 90.00°, γ = 90.00°
Space group Immm (No. 71)
Symmetry-distinct sites (fractional):
Ba: 0.000 0.000 0.145 x4
Pd: 0.000 0.000 0.500 x2
O: 0.000 0.000 0.345 x4
O: 0.000 0.500 0.500 x2

Largest 10 diffraction maxima, by angle, 2θ from 10° to 80°:
2θ (°)	intensity
29.27	71
30.33	81
31.43	100
40.15	19
41.54	16
43.54	23
46.52	19
51.86	29
53.99	32
55.92	24

(7)
# BaPdO3
Simulated powder XRD pattern, λ = 1.5418 Å (Cu Kα). Input: a GGA-PBE-relaxed structure.
Lines closer than 0.1° are merged.

Structure:
a = 4.128 Å, b = 4.128 Å, c = 4.128 Å
α = 90.00°, β = 90.00°, γ = 90.00°
Space group Pm-3m (No. 221)
Symmetry-distinct sites (fractional):
Ba: 0.000 0.000 0.000 x1
Pd: 0.500 0.500 0.500 x1
O: 0.000 0.500 0.500 x3

Largest 7 diffraction maxima, by angle, 2θ from 10° to 80°:
2θ (°)	intensity
30.63	100
37.74	4
43.86	30
54.44	40
63.77	19
72.39	17
76.54	1

(8)
# BaSm2PdO5
Simulated powder XRD pattern, λ = 1.5418 Å (Cu Kα). Input: a GGA-PBE-relaxed structure.
Lines closer than 0.1° are merged.

Structure:
a = 6.728 Å, b = 6.728 Å, c = 5.962 Å
α = 90.00°, β = 90.00°, γ = 90.00°
Space group P4/mbm (No. 127)
Symmetry-distinct sites (fractional):
Ba: 0.000 0.000 0.000 x2
Sm: 0.174 0.326 0.500 x4
Pd: 0.000 0.500 0.000 x2
O: 0.000 0.000 0.500 x2
O: 0.140 0.640 0.255 x8

Largest 10 diffraction maxima, by angle, 2θ from 10° to 80°:
2θ (°)	intensity
29.69	18
29.98	40
30.51	100
33.36	47
37.82	23
42.70	36
48.99	21
53.56	21
56.88	12
58.66	12

(9)
# BaTb2PdO5
Simulated powder XRD pattern, λ = 1.5418 Å (Cu Kα). Input: a GGA-PBE-relaxed structure.
Lines closer than 0.1° are merged.

Structure:
a = 6.612 Å, b = 6.612 Å, c = 5.932 Å
α = 90.00°, β = 90.00°, γ = 90.00°
Space group P4/mbm (No. 127)
Symmetry-distinct sites (fractional):
Ba: 0.000 0.000 0.000 x2
Tb: 0.174 0.326 0.500 x4
Pd: 0.000 0.500 0.000 x2
O: 0.000 0.000 0.500 x2
O: 0.141 0.641 0.259 x8

Largest 10 diffraction maxima, by angle, 2θ from 10° to 80°:
2θ (°)	intensity
30.16	61
30.97	100
33.87	49
38.51	22
43.22	48
49.66	21
54.04	21
55.94	13
57.92	11
59.74	13